[1]
Starting from DFT lattice parameters and positions (GGA-PBE), the X-ray powder pattern of Tb6Ga2N was simulated for Cu Kα.
Peak positions follow from Bragg's law for the DFT cell and can differ from measured ones.

Crystal structure
Cell: 6.705 6.705 10.953 Å, 90.00 90.00 90.00°
Space group P4_2/mnm (No. 136)
Symmetry-distinct sites (fractional):
Tb: 0.194 0.194 0.158 x8
Tb: 0.244 0.756 0.000 x4
Ga: 0.000 0.000 0.363 x4
N: 0.000 0.000 0.000 x2

Main lines, low angle first (2θ = 15–90°):
- 2θ = 18.72°, rel. 12
- 2θ = 26.59°, rel. 36
- 2θ = 29.80°, rel. 17
- 2θ = 30.91°, rel. 100
- 2θ = 37.96°, rel. 27
- 2θ = 38.87°, rel. 12
- 2θ = 47.71°, rel. 15
- 2θ = 49.73°, rel. 26
- 2θ = 57.49°, rel. 12
- 2θ = 64.42°, rel. 11

---

[2]
Starting from DFT lattice parameters and positions (GGA-PBE), the X-ray powder pattern of GaTeN was simulated for Cu Kα.
Peak positions follow from Bragg's law for the DFT cell and can differ from measured ones.

Crystal structure
Cell: 3.172 5.578 8.741 Å, 88.07 88.54 89.99°
Space group P1 (No. 1)
Symmetry-distinct sites (fractional):
Ga: 0.000 0.000 0.000 x1
Ga: 0.499 0.500 0.005 x1
Te: 0.021 0.057 0.572 x1
Te: 0.029 0.564 0.454 x1
N: 0.500 0.831 0.003 x1
N: 0.999 0.331 0.004 x1

Main lines, low angle first (2θ = 15–90°):
- 2θ = 20.34°, rel. 100
- 2θ = 28.14°, rel. 21
- 2θ = 29.73°, rel. 16
- 2θ = 30.23°, rel. 15
- 2θ = 32.11°, rel. 29
- 2θ = 37.70°, rel. 13
- 2θ = 38.91°, rel. 12
- 2θ = 43.21°, rel. 13
- 2θ = 44.39°, rel. 15
- 2θ = 45.14°, rel. 13